# PmSm6Tl4
Theoretical XRD peak list, copper Kα. Input: a structure optimized by DFT (GGA-PBE).
Peak positions follow from Bragg's law for the DFT cell and can differ from measured ones.

Cell and atoms:
Cell: 8.1913 8.1913 8.1913 Å, 122.03 122.03 86.52°
Sites, in units of the cell vectors:
Pm1 0.0000 0.0000 0.0000
Sm1 0.0000 0.5000 0.5000
Sm2 0.0986 0.0986 0.6264
Sm3 0.4722 0.4722 0.3736
Sm4 0.5000 0.0000 0.5000
Sm5 0.5278 0.9014 0.0000
Sm6 0.9014 0.5278 0.0000
Tl1 0.2618 0.5994 0.0000
Tl2 0.4006 0.4006 0.6623
Tl3 0.5994 0.2618 0.0000
Tl4 0.7382 0.7382 0.3377

Main lines, sorted by position (10 to 80 degrees two-theta):
2theta, I_rel
13.40, 37
26.19, 38
26.98, 36
31.88, 34
33.85, 100
34.04, 63
34.72, 58
35.77, 31
44.31, 30
51.42, 24
52.83, 40
60.71, 25

# Ba2Si4Rh5
Theoretical XRD peak list, copper Kα. Input: a structure optimized by DFT (GGA-PBE).
Peak positions follow from Bragg's law for the DFT cell and can differ from measured ones.

Cell and atoms:
Cell: 8.5891 7.3448 6.0935 Å, 78.85 57.04 44.11°
Sites, in units of the cell vectors:
Ba1 0.1343 0.1343 0.8657
Ba2 0.8657 0.8657 0.1343
Si1 0.2091 0.5367 0.4633
Si2 0.4633 0.7909 0.2091
Si3 0.5367 0.2091 0.7909
Si4 0.7909 0.4633 0.5367
Rh1 0.0000 0.0000 0.5000
Rh2 0.2500 0.2500 0.2500
Rh3 0.5000 0.5000 0.0000
Rh4 0.5000 0.5000 0.5000
Rh5 0.7500 0.7500 0.7500

Main lines, sorted by position (10 to 80 degrees two-theta):
2theta, I_rel
26.34, 59
31.43, 65
33.59, 54
34.83, 100
35.64, 57
40.74, 56
44.28, 20
53.80, 29
54.54, 19
58.71, 19
60.86, 29
66.36, 28

# Tb4Ho3Th2
Theoretical XRD peak list, copper Kα. Input: a structure optimized by DFT (GGA-PBE).
Peak positions follow from Bragg's law for the DFT cell and can differ from measured ones.

Cell and atoms:
Cell: 9.4728 9.4728 9.5028 Å, 115.20 115.20 21.84°
Sites, in units of the cell vectors:
Tb1 0.0178 0.0178 0.3332
Tb2 0.3150 0.3150 0.6707
Tb3 0.6850 0.6850 0.3293
Tb4 0.9822 0.9822 0.6668
Ho1 0.3503 0.3503 0.3286
Ho2 0.5000 0.5000 0.0000
Ho3 0.6497 0.6497 0.6714
Th1 0.1678 0.1678 0.9996
Th2 0.8322 0.8322 0.0004

Main lines, sorted by position (10 to 80 degrees two-theta):
2theta, I_rel
28.97, 42
31.34, 47
32.03, 100
33.74, 83
40.42, 20
50.96, 37
55.09, 23
58.43, 16
61.02, 28
61.12, 14
61.41, 11
62.51, 14

# Cu3Ir3S8
Theoretical XRD peak list, copper Kα. Input: a structure optimized by DFT (GGA-PBE).
Peak positions follow from Bragg's law for the DFT cell and can differ from measured ones.

Cell and atoms:
Cell: 6.9429 6.9429 6.9429 Å, 61.18 61.18 61.18°
Sites, in units of the cell vectors:
Cu1 0.0000 0.0000 0.0000
Cu2 0.3793 0.3793 0.3793
Cu3 0.6207 0.6207 0.6207
Ir1 0.0000 0.0000 0.5000
Ir2 0.0000 0.5000 0.0000
Ir3 0.5000 0.0000 0.0000
S1 0.2210 0.7571 0.7571
S2 0.2399 0.2399 0.2399
S3 0.2429 0.2429 0.7790
S4 0.2429 0.7790 0.2429
S5 0.7571 0.2210 0.7571
S6 0.7571 0.7571 0.2210
S7 0.7601 0.7601 0.7601
S8 0.7790 0.2429 0.2429

Main lines, sorted by position (10 to 80 degrees two-theta):
2theta, I_rel
15.40, 45
15.78, 84
25.67, 29
29.67, 100
29.87, 67
30.27, 36
31.10, 37
36.28, 97
47.68, 27
48.09, 32
51.75, 63
52.76, 58

Question: Number 4 is which compound?
Answer: Cu3Ir3S8